No. 1
Na6Hf2O7: theoretical powder XRD pattern (copper Kα), based on a DFT-relaxed cell (GGA-PBE, OQMD).
Kinematic intensities with the Lorentz-polarization factor, no thermal factor.

Principal peaks in the range 2θ = 5–70°, by angle:
h k l	2θ/deg	Rel. int.
0 0 1	14.28	100
0 1 0	16.13	40
1 1 0	20.85	20
0 1 1	21.82	27
1 -1 0	26.06	21
1 1 -1	27.80	23
0 1 2	33.45	40
2 1 2	39.14	31
1 1 -2	39.40	31
1 -2 0	40.35	28

Atomic structure:
a = 5.535 Å, b = 5.633 Å, c = 6.460 Å
α = 87.52°, β = 73.79°, γ = 77.28°
Space group P-1 (No. 2)
One atom of each set of equivalent atoms:
Na  0.205  0.349  0.317 x2
Na  0.223  0.384  0.820 x2
Na  0.254  0.908  0.562 x2
Hf  0.258  0.857  0.069 x2
O  0.018  0.796  0.888 x2
O  0.055  0.744  0.348 x2
O  0.498  0.995  0.214 x2
O  0.500  0.500  0.000 x1

***

No. 2
ZnC2N2: theoretical powder XRD pattern (copper Kα), based on a DFT-relaxed cell (GGA-PBE, OQMD).
Kinematic intensities with the Lorentz-polarization factor, no thermal factor.

Principal peaks in the range 2θ = 5–70°, by angle:
h k l	2θ/deg	Rel. int.
1 0 0	9.05	41
1 1 0	12.81	98
1 0 1	14.65	76
1 1 1	17.25	100
1 2 0	20.32	31
2 1 1	23.41	22
2 2 1	28.32	36
2 0 2	29.54	21
1 3 2	37.33	28
3 2 2	40.74	30

Atomic structure:
a = 9.771 Å, b = 9.771 Å, c = 7.699 Å
α = 90.00°, β = 90.00°, γ = 90.00°
Space group P4_1 (No. 76)
One atom of each set of equivalent atoms:
Zn  0.008  0.659  0.000 x4
C  0.049  0.467  0.686 x4
C  0.151  0.784  0.088 x4
N  0.060  0.544  0.802 x4
N  0.139  0.228  0.400 x4

***

No. 3
Al3NiC5: theoretical powder XRD pattern (copper Kα), based on a DFT-relaxed cell (GGA-PBE, OQMD).
Kinematic intensities with the Lorentz-polarization factor, no thermal factor.

Principal peaks in the range 2θ = 5–70°, by angle:
h k l	2θ/deg	Rel. int.
1 1 1	26.26	38
0 2 1	32.91	98
0 0 2	33.33	18
2 0 1	33.92	100
1 1 2	39.33	23
2 2 0	41.27	36
2 2 2	54.04	56
0 4 0	58.49	15
0 2 3	59.29	17
2 4 1	69.36	22

Atomic structure:
a = 6.070 Å, b = 6.312 Å, c = 5.377 Å
α = 90.00°, β = 90.00°, γ = 90.00°
Space group Cmm2 (No. 35)
One atom of each set of equivalent atoms:
Al  0.000  0.000  0.000 x2
Al  0.250  0.250  0.404 x4
Ni  0.000  0.500  0.929 x2
C  0.000  0.000  0.625 x2
C  0.000  0.280  0.166 x4
C  0.221  0.000  0.646 x4